Structure and simulated X-ray diffraction stick pattern of SiO2 (a structure optimized by DFT (PBE); Cu Kα, 1.54184 Å).
No peak broadening, texture or thermal motion is included.

Principal peaks in the range 2θ = 5–70°, low angle first:
2θ 10.48, rel. 100; 2θ 11.58, rel. 11; 2θ 12.90, rel. 30; 2θ 15.45, rel. 49; 2θ 17.52, rel. 13; 2θ 17.76, rel. 20; 2θ 20.48, rel. 13; 2θ 25.09, rel. 10; 2θ 25.47, rel. 28; 2θ 26.30, rel. 16

Atomic structure:
```
SiO2
1.0
5.2547 -7.6406 0.0000
5.2547 7.6406 0.0000
-2.4109 0.0000 8.6752
Si O
12 24
Direct
0.0024 0.7996 0.6895
0.0945 0.2976 0.6706
0.1081 0.5958 0.8946
0.2004 0.9976 0.3105
0.2976 0.0945 0.6706
0.4042 0.8919 0.1054
0.5958 0.1081 0.8946
0.7024 0.9055 0.3294
0.7996 0.0024 0.6895
0.8919 0.4042 0.1054
0.9055 0.7024 0.3294
0.9976 0.2004 0.3105
0.0000 0.5000 0.0000
0.0095 0.6821 0.8033
0.0566 0.3003 0.4886
0.0625 0.8215 0.2850
0.1221 0.1221 0.2683
0.1467 0.4748 0.7718
0.1785 0.9375 0.7150
0.2398 0.2398 0.7081
0.2754 0.7246 0.0000
0.3003 0.0566 0.4886
0.3179 0.9905 0.1967
0.4748 0.1467 0.7718
0.5000 0.0000 0.0000
0.5252 0.8533 0.2282
0.6821 0.0095 0.8033
0.6997 0.9434 0.5114
0.7246 0.2754 0.0000
0.7602 0.7602 0.2919
0.8215 0.0625 0.2850
0.8533 0.5252 0.2282
0.8779 0.8779 0.7317
0.9375 0.1785 0.7150
0.9434 0.6997 0.5114
0.9905 0.3179 0.1967
```